Record 1
FeSnTe3Au: simulated powder XRD pattern (Cu Kα (weighted mean of Kα1 and Kα2)), based on a cell relaxed with GGA-PBE.

Structure:
```
data_FeSnTe3Au
_chemical_formula_sum 'Fe2 Sn2 Te6 Au2'
_cell_length_a 7.5436
_cell_length_b 7.5436
_cell_length_c 11.1616
_cell_angle_alpha 90.00
_cell_angle_beta 90.00
_cell_angle_gamma 151.25
_symmetry_space_group_name_H-M 'P 1'
_symmetry_Int_Tables_number 1
_symmetry_space_group_name_Hall 'P 1'
loop_
_atom_site_label
_atom_site_type_symbol
_atom_site_fract_x
_atom_site_fract_y
_atom_site_fract_z
Fe1 Fe 0.0000 0.0000 0.0000
Fe2 Fe 0.0000 0.0000 0.5000
Sn1 Sn 0.3126 0.6874 0.7500
Sn2 Sn 0.6874 0.3126 0.2500
Te1 Te 0.0111 0.9889 0.2500
Te2 Te 0.3763 0.6237 0.0104
Te3 Te 0.3763 0.6237 0.4896
Te4 Te 0.6237 0.3763 0.5104
Te5 Te 0.6237 0.3763 0.9896
Te6 Te 0.9889 0.0111 0.7500
Au1 Au 0.3322 0.6678 0.2500
Au2 Au 0.6678 0.3322 0.7500
```

Largest 10 diffraction maxima, by intensity, 2θ = 15–90°:
2θ 30.10, d = 2.969 Å, I 100; 2θ 44.56, d = 2.033 Å, I 67; 2θ 32.08, d = 2.790 Å, I 53; 2θ 42.44, d = 2.130 Å, I 21; 2θ 59.44, d = 1.555 Å, I 18; 2θ 48.62, d = 1.873 Å, I 17; 2θ 75.25, d = 1.263 Å, I 14; 2θ 34.21, d = 2.621 Å, I 13; 2θ 36.90, d = 2.436 Å, I 13; 2θ 40.40, d = 2.232 Å, I 13

***

Record 2
La3Os2C10: simulated powder XRD pattern (Cu Kα (weighted mean of Kα1 and Kα2)), based on a cell relaxed with GGA-PBE.

Structure:
```
data_La3Os2C10
_chemical_formula_sum 'La3 Os2 C10'
_cell_length_a 6.1291
_cell_length_b 6.1291
_cell_length_c 6.6503
_cell_angle_alpha 108.57
_cell_angle_beta 108.57
_cell_angle_gamma 100.93
_symmetry_space_group_name_H-M 'P 1'
_symmetry_Int_Tables_number 1
_symmetry_space_group_name_Hall 'P 1'
loop_
_atom_site_label
_atom_site_type_symbol
_atom_site_fract_x
_atom_site_fract_y
_atom_site_fract_z
La1 La 0.0000 0.0000 0.0000
La2 La 0.1983 0.8017 0.5000
La3 La 0.8017 0.1983 0.5000
Os1 Os 0.4946 0.4946 0.1925
Os2 Os 0.5054 0.5054 0.8075
C1 C 0.2260 0.2260 0.4500
C2 C 0.2647 0.7191 0.8963
C3 C 0.2709 0.2709 0.8780
C4 C 0.2809 0.7353 0.1037
C5 C 0.3525 0.3525 0.3759
C6 C 0.6475 0.6475 0.6241
C7 C 0.7191 0.2647 0.8963
C8 C 0.7291 0.7291 0.1220
C9 C 0.7353 0.2809 0.1037
C10 C 0.7740 0.7740 0.5500
```

Largest 10 diffraction maxima, by intensity, 2θ = 15–90°:
2θ 26.38, d = 3.378 Å, I 100; 2θ 24.36, d = 3.654 Å, I 73; 2θ 28.55, d = 3.127 Å, I 57; 2θ 31.32, d = 2.856 Å, I 44; 2θ 29.78, d = 3.000 Å, I 44; 2θ 40.86, d = 2.208 Å, I 41; 2θ 37.59, d = 2.393 Å, I 38; 2θ 18.77, d = 4.727 Å, I 38; 2θ 38.06, d = 2.364 Å, I 36; 2θ 16.12, d = 5.497 Å, I 30